Computed X-ray powder pattern of HoPu3Hg4 for a wavelength of 1.5418 Å, from a crystal structure in Alexandria, relaxed with GGA-PBE.
No peak broadening, texture or thermal motion is included.

Structural model:
Cell: 3.3475 3.3475 18.0524 Å, 90.00 90.00 90.00°
Space group P4/mmm (No. 123)
Unique sites:
1 Ho 0.0000 0.0000 0.0000 x1
2 Pu 0.0000 0.0000 0.2450 x2
3 Pu 0.0000 0.0000 0.5000 x1
4 Hg 0.5000 0.5000 0.1172 x2
5 Hg 0.5000 0.5000 0.3727 x2

Top 10 peaks for 2θ from 15° to 90°, in order of rising 2θ:
- 33.33°, I = 1000, (1 0 4)
- 38.02°, I = 358, (1 1 0)
- 39.95°, I = 148, (0 0 8)
- 54.85°, I = 126, (2 0 0)
- 56.33°, I = 221, (1 1 8)
- 65.72°, I = 292, (2 1 4)
- 68.36°, I = 116, (1 0 12)
- 69.99°, I = 117, (2 0 8)
- 81.29°, I = 42, (2 2 0)
- 86.20°, I = 15, (0 0 16)

---

Computed X-ray powder pattern of Ho2PuHg9 for a wavelength of 1.5418 Å, from a crystal structure in Alexandria, relaxed with GGA-PBE.
No peak broadening, texture or thermal motion is included.

Structural model:
Cell: 4.5517 4.7463 13.7629 Å, 90.00 90.00 90.00°
Space group Pmmm (No. 47)
Unique sites:
1 Ho 0.0000 0.0000 0.1633 x2
2 Pu 0.0000 0.0000 0.5000 x1
3 Hg 0.0000 0.5000 0.0000 x1
4 Hg 0.0000 0.5000 0.3287 x2
5 Hg 0.5000 0.0000 0.0000 x1
6 Hg 0.5000 0.0000 0.3270 x2
7 Hg 0.5000 0.5000 0.1610 x2
8 Hg 0.5000 0.5000 0.5000 x1

Top 10 peaks for 2θ from 15° to 90°, in order of rising 2θ:
- 33.55°, I = 1000, (1 1 3)
- 37.91°, I = 182, (0 2 0)
- 39.28°, I = 161, (0 0 6)
- 39.60°, I = 161, (2 0 0)
- 55.73°, I = 118, (0 2 6)
- 55.98°, I = 120, (2 2 0)
- 65.71°, I = 148, (1 3 3)
- 67.57°, I = 130, (1 1 9)
- 68.01°, I = 134, (3 1 3)
- 70.52°, I = 119, (2 2 6)

---

Computed X-ray powder pattern of HoPuHg4 for a wavelength of 1.5418 Å, from a crystal structure in Alexandria, relaxed with GGA-PBE.
No peak broadening, texture or thermal motion is included.

Structural model:
Cell: 3.2659 5.0472 8.7866 Å, 90.00 90.00 90.00°
Space group Pmmm (No. 47)
Unique sites:
1 Ho 0.0000 0.0000 0.0000 x1
2 Pu 0.0000 0.5000 0.5000 x1
3 Hg 0.5000 0.0000 0.3304 x2
4 Hg 0.5000 0.5000 0.1637 x2

Top 10 peaks for 2θ from 15° to 90°, in order of rising 2θ:
- 34.24°, I = 1000, (1 1 1)
- 35.43°, I = 687, (0 1 3)
- 35.57°, I = 341, (0 2 0)
- 50.04°, I = 116, (1 0 4)
- 50.18°, I = 231, (1 2 2)
- 56.34°, I = 93, (2 0 0)
- 62.85°, I = 237, (1 2 4)
- 63.05°, I = 118, (1 3 1)
- 63.80°, I = 128, (0 3 3)
- 68.37°, I = 314, (2 2 0)

---

Computed X-ray powder pattern of Ho4Hg5Rh2 for a wavelength of 1.5418 Å, from a crystal structure in Alexandria, relaxed with GGA-PBE.
No peak broadening, texture or thermal motion is included.

Structural model:
Cell: 7.6950 3.5863 9.4585 Å, 90.00 94.51 90.00°
Space group P2/m (No. 10)
Unique sites:
1 Ho 0.1808 0.0000 0.3499 x2
2 Ho 0.2154 0.0000 0.9376 x2
3 Hg 0.1686 0.5000 0.6437 x2
4 Hg 0.4574 0.5000 0.1666 x2
5 Hg 0.5000 0.5000 0.5000 x1
6 Rh 0.0797 0.5000 0.1411 x2

Top 10 peaks for 2θ from 15° to 90°, in order of rising 2θ:
- 31.60°, I = 530, (1 0 3)
- 32.96°, I = 746, (1 1 -2)
- 34.03°, I = 1000, (1 1 2)
- 34.23°, I = 699, (2 1 0)
- 35.09°, I = 693, (3 0 0)
- 35.47°, I = 554, (2 0 -3)
- 36.07°, I = 405, (2 1 1)
- 38.07°, I = 424, (0 1 3)
- 38.41°, I = 718, (2 0 3)
- 50.93°, I = 437, (0 2 0)

---

Computed X-ray powder pattern of Ho3HgRh for a wavelength of 1.5418 Å, from a crystal structure in Alexandria, relaxed with GGA-PBE.
No peak broadening, texture or thermal motion is included.

Structural model:
Cell: 6.3749 9.6589 16.2882 Å, 90.00 90.00 90.00°
Space group Fmmm (No. 69)
Unique sites:
1 Ho 0.0000 0.0000 0.1967 x8
2 Ho 0.0000 0.1829 0.3892 x16
3 Hg 0.2170 0.0000 0.0000 x8
4 Rh 0.2500 0.2500 0.2500 x8

Top 10 peaks for 2θ from 15° to 90°, in order of rising 2θ:
- 28.68°, I = 468, (0 2 4)
- 31.61°, I = 726, (1 3 1)
- 32.22°, I = 674, (1 1 5)
- 35.34°, I = 303, (1 3 3)
- 35.50°, I = 1000, (2 2 2)
- 35.77°, I = 732, (2 0 4)
- 37.24°, I = 197, (0 4 0)
- 38.02°, I = 472, (0 2 6)
- 54.42°, I = 238, (3 3 3)
- 57.28°, I = 352, (0 6 0)

---

Computed X-ray powder pattern of HoScHgRu for a wavelength of 1.5418 Å, from a crystal structure in Alexandria, relaxed with GGA-PBE.
No peak broadening, texture or thermal motion is included.

Structural model:
Cell: 6.9085 6.9085 6.9085 Å, 90.00 90.00 90.00°
Space group F-43m (No. 216)
Unique sites:
1 Ho 0.0000 0.0000 0.0000 x4
2 Sc 0.0000 0.0000 0.5000 x4
3 Hg 0.2500 0.2500 0.2500 x4
4 Ru 0.2500 0.2500 0.7500 x4

Top 10 peaks for 2θ from 15° to 90°, in order of rising 2θ:
- 22.29°, I = 203, (1 1 1)
- 25.79°, I = 43, (2 0 0)
- 36.80°, I = 1000, (2 2 0)
- 43.44°, I = 116, (3 1 1)
- 53.02°, I = 174, (4 0 0)
- 58.21°, I = 51, (3 3 1)
- 66.28°, I = 355, (4 2 2)
- 78.29°, I = 111, (4 4 0)
- 82.63°, I = 40, (5 3 1)
- 89.78°, I = 165, (6 2 0)

---

Repeat the third record exactly.
Computed X-ray powder pattern of HoPuHg4 for a wavelength of 1.5418 Å, from a crystal structure in Alexandria, relaxed with GGA-PBE.
No peak broadening, texture or thermal motion is included.

Structural model:
Cell: 3.2659 5.0472 8.7866 Å, 90.00 90.00 90.00°
Space group Pmmm (No. 47)
Unique sites:
1 Ho 0.0000 0.0000 0.0000 x1
2 Pu 0.0000 0.5000 0.5000 x1
3 Hg 0.5000 0.0000 0.3304 x2
4 Hg 0.5000 0.5000 0.1637 x2

Top 10 peaks for 2θ from 15° to 90°, in order of rising 2θ:
- 34.24°, I = 1000, (1 1 1)
- 35.43°, I = 687, (0 1 3)
- 35.57°, I = 341, (0 2 0)
- 50.04°, I = 116, (1 0 4)
- 50.18°, I = 231, (1 2 2)
- 56.34°, I = 93, (2 0 0)
- 62.85°, I = 237, (1 2 4)
- 63.05°, I = 118, (1 3 1)
- 63.80°, I = 128, (0 3 3)
- 68.37°, I = 314, (2 2 0)

---

Question: What is the formula in the second record?
Answer: Ho2PuHg9